(1)
The following is a computed X-ray powder pattern of CdAgTe3As. It was derived from a structure optimized by DFT (PBE), using Cu Kα.
Lines closer than 0.1° are merged.

Cell and atoms:
```
data_CdAgTe3As
_chemical_formula_sum 'Cd4 Ag4 Te12 As4'
_space_group_name_H-M_alt 'C 1 c 1'
_space_group_IT_number 9
_space_group_name_Hall 'C -2yc'
_cell_length_a 7.5924
_cell_length_b 12.6666
_cell_length_c 8.4743
_cell_angle_alpha 90.00
_cell_angle_beta 115.65
_cell_angle_gamma 90.00
loop_
_atom_site_label
_atom_site_type_symbol
_atom_site_fract_x
_atom_site_fract_y
_atom_site_fract_z
_atom_site_occupancy
Cd1 Cd 0.0000 0.1893 0.0000 1
Ag1 Ag 0.0366 0.4795 0.5520 1
Te1 Te 0.0789 0.2993 0.3234 1
Te2 Te 0.1268 0.0112 0.8774 1
Te3 Te 0.1508 0.3721 0.8703 1
As1 As 0.0379 0.1486 0.5307 1
```

Principal peaks in the range 2θ = 10–80°, low angle first:
| h k l | 2θ/deg | I/Imax |
| --- | --- | --- |
| 0 0 2 | 23.3 | 29 |
| 1 3 -1 | 24.8 | 41 |
| 2 0 0 | 26.0 | 62 |
| 1 3 -2 | 30.0 | 100 |
| 1 3 2 | 38.1 | 23 |
| 3 3 -2 | 42.1 | 34 |
| 2 0 2 | 42.4 | 15 |
| 2 0 -4 | 43.1 | 19 |
| 0 6 1 | 44.5 | 19 |
| 3 3 0 | 45.2 | 17 |

***

(2)
The following is a computed X-ray powder pattern of Dy2Er3Tm2Ni2Te2. It was derived from a structure optimized by DFT (PBE), using Cu Kα.
Lines closer than 0.1° are merged.

Cell and atoms:
```
data_Dy2Er3Tm2Ni2Te2
_chemical_formula_sum 'Dy4 Er6 Tm4 Ni4 Te4'
_space_group_name_H-M_alt 'I m m 2'
_space_group_IT_number 44
_space_group_name_Hall 'I 2 -2'
_cell_length_a 3.8267
_cell_length_b 15.4763
_cell_length_c 9.4791
_cell_angle_alpha 90.00
_cell_angle_beta 90.00
_cell_angle_gamma 90.00
loop_
_atom_site_label
_atom_site_type_symbol
_atom_site_fract_x
_atom_site_fract_y
_atom_site_fract_z
_atom_site_occupancy
Dy1 Dy 0.0000 0.1465 0.0000 1
Er1 Er 0.0000 0.3668 0.8527 1
Er2 Er 0.0000 0.5000 0.2696 1
Tm1 Tm 0.0000 0.1853 0.6489 1
Ni1 Ni 0.0000 0.2624 0.3416 1
Te1 Te 0.0000 0.0000 0.5048 1
Te2 Te 0.0000 0.5000 0.6070 1
```

Principal peaks in the range 2θ = 10–80°, low angle first:
| h k l | 2θ/deg | I/Imax |
| --- | --- | --- |
| 1 3 0 | 29.1 | 22 |
| 0 5 1 | 30.4 | 23 |
| 1 1 2 | 30.6 | 51 |
| 0 3 3 | 33.3 | 80 |
| 1 4 1 | 34.3 | 100 |
| 0 6 0 | 34.8 | 76 |
| 1 0 3 | 36.9 | 22 |
| 1 2 3 | 38.7 | 19 |
| 2 0 0 | 47.5 | 30 |
| 2 3 3 | 59.2 | 31 |

***

(3)
The following is a computed X-ray powder pattern of GdDy2HoPd4. It was derived from a structure optimized by DFT (PBE), using Cu Kα.
Lines closer than 0.1° are merged.

Cell and atoms:
```
data_GdDy2HoPd4
_chemical_formula_sum 'Gd1 Dy2 Ho1 Pd4'
_space_group_name_H-M_alt 'P 4/m m m'
_space_group_IT_number 123
_space_group_name_Hall '-P 4 2'
_cell_length_a 4.9503
_cell_length_b 4.9503
_cell_length_c 6.9934
_cell_angle_alpha 90.00
_cell_angle_beta 90.00
_cell_angle_gamma 90.00
loop_
_atom_site_label
_atom_site_type_symbol
_atom_site_fract_x
_atom_site_fract_y
_atom_site_fract_z
_atom_site_occupancy
Gd1 Gd 0.0000 0.0000 0.0000 1
Dy1 Dy 0.0000 0.0000 0.5000 1
Dy2 Dy 0.5000 0.5000 0.0000 1
Ho1 Ho 0.5000 0.5000 0.5000 1
Pd1 Pd 0.0000 0.5000 0.2511 1
```

Principal peaks in the range 2θ = 10–80°, low angle first:
| h k l | 2θ/deg | I/Imax |
| --- | --- | --- |
| 1 1 0 | 25.5 | 4 |
| 2 0 0 | 36.3 | 100 |
| 2 0 2 | 44.9 | 1 |
| 2 2 0 | 52.3 | 18 |
| 3 1 0 | 59.0 | 2 |
| 3 1 2 | 65.3 | 36 |
| 4 0 0 | 77.1 | 11 |